(1)
Structure and simulated XRD peak list of Er4Cd5Ru2 (a DFT-relaxed cell (PBE, Alexandria); CuKα).

Principal peaks in the range 2θ = 10–90°, sorted by position:
2theta, d_spacing, Rel. int., hkl
30.99, 2.885, 29.0, 1 0 3
33.30, 2.690, 70.7, 1 1 -2
34.34, 2.611, 100.0, 1 1 2
34.76, 2.581, 60.3, 2 1 0
34.98, 2.565, 97.1, 3 0 0
36.51, 2.461, 38.1, 2 1 1
37.87, 2.375, 42.4, 2 0 3
38.11, 2.362, 58.4, 0 1 3
38.24, 2.353, 33.3, 1 0 -4
38.69, 2.327, 56.4, 2 1 -2
52.56, 1.741, 37.6, 0 2 0
56.67, 1.624, 34.4, 1 1 5

Structure:
```
data_Er4Cd5Ru2
_space_group_name_H-M_alt 'P 1 2/m 1'
_space_group_IT_number 10
_cell_length_a 7.7151
_cell_length_b 3.4822
_cell_length_c 9.6708
_cell_angle_alpha 90.00
_cell_angle_beta 94.52
_cell_angle_gamma 90.00
loop_
_space_group_symop_operation_xyz
'x,y,z'
'-x,-y,-z'
'-x,y,-z'
'x,-y,z'
loop_
_atom_site_label
_atom_site_fract_x
_atom_site_fract_y
_atom_site_fract_z
_atom_site_occupancy
Er1 0.1666 0.0000 0.3561 1
Er2 0.2111 0.0000 0.9487 1
Cd1 0.1914 0.5000 0.6574 1
Cd2 0.4501 0.5000 0.1778 1
Cd3 0.5000 0.5000 0.5000 1
Ru1 0.0741 0.5000 0.1464 1
```



(2)
Structure and simulated XRD peak list of Er6CdS3 (a DFT-relaxed cell (PBE, Alexandria); CuKα).

Principal peaks in the range 2θ = 10–90°, sorted by position:
2theta, d_spacing, Rel. int., hkl
28.19, 3.166, 24.7, 2 1 -1
28.27, 3.156, 21.0, 3 0 1
30.03, 2.975, 44.5, 2 1 -2
30.57, 2.924, 32.4, 1 0 -4
30.78, 2.904, 26.9, 2 0 -4
30.96, 2.889, 24.4, 4 0 -2
31.33, 2.855, 100.0, 1 1 2
33.27, 2.693, 19.5, 4 0 -3
33.90, 2.644, 23.1, 3 1 -2
36.71, 2.448, 15.7, 3 1 -3
47.94, 1.898, 28.4, 5 1 0
48.09, 1.892, 23.9, 0 2 0

Structure:
```
data_Er6CdS3
_space_group_name_H-M_alt 'P 1 21/m 1'
_space_group_IT_number 11
_cell_length_a 11.6999
_cell_length_b 3.7838
_cell_length_c 11.7588
_cell_angle_alpha 90.00
_cell_angle_beta 110.40
_cell_angle_gamma 90.00
loop_
_space_group_symop_operation_xyz
'x,y,z'
'-x,-y,-z'
'-x,y+1/2,-z'
'x,-y+1/2,z'
loop_
_atom_site_label
_atom_site_fract_x
_atom_site_fract_y
_atom_site_fract_z
_atom_site_occupancy
Er1 0.0246 0.2500 0.3465 1
Er2 0.1381 0.7500 0.1083 1
Er3 0.2588 0.2500 0.6642 1
Er4 0.3473 0.7500 0.9435 1
Er5 0.3546 0.7500 0.4510 1
Er6 0.4363 0.2500 0.2340 1
Cd1 0.1208 0.2500 0.8727 1
S1 0.1354 0.7500 0.5088 1
S2 0.2255 0.2500 0.2805 1
S3 0.4578 0.2500 0.8588 1
```



(3)
Structure and simulated XRD peak list of ErScCd17 (a DFT-relaxed cell (PBE, Alexandria); CuKα).

Principal peaks in the range 2θ = 10–90°, sorted by position:
2theta, d_spacing, Rel. int., hkl
11.79, 7.509, 6.0, 1 0 1
30.94, 2.890, 23.8, 3 0 0
31.51, 2.839, 6.8, 0 2 4
35.87, 2.503, 100.0, 0 0 6
36.38, 2.470, 15.7, 2 0 5
37.89, 2.374, 5.5, 1 3 1
40.28, 2.239, 27.3, 2 2 3
48.08, 1.892, 8.2, 0 3 6
55.04, 1.668, 10.5, 3 3 0
64.47, 1.445, 17.9, 0 3 9
67.45, 1.388, 11.6, 3 3 6
78.83, 1.214, 6.0, 2 5 6

Structure:
```
data_ErScCd17
_space_group_name_H-M_alt 'R 3 m'
_space_group_IT_number 160
_space_group_name_Hall 'R 3 -2"'
_cell_length_a 10.0105
_cell_length_b 10.0105
_cell_length_c 15.0261
_cell_angle_alpha 90.00
_cell_angle_beta 90.00
_cell_angle_gamma 120.00
loop_
_atom_site_label
_atom_site_fract_x
_atom_site_fract_y
_atom_site_fract_z
_atom_site_occupancy
Er1 0.0000 0.0000 0.0000 1
Sc1 0.0000 0.0000 0.6364 1
Cd1 0.0000 0.0000 0.2245 1
Cd2 0.0000 0.0000 0.4118 1
Cd3 0.0000 0.3158 0.3187 1
Cd4 0.1855 0.3710 0.8018 1
Cd5 0.1866 0.3732 0.1592 1
Cd6 0.2136 0.4273 0.4923 1
```



(4)
Structure and simulated XRD peak list of Er8Sc2Cd (a DFT-relaxed cell (PBE, Alexandria); CuKα).

Principal peaks in the range 2θ = 10–90°, sorted by position:
2theta, d_spacing, Rel. int., hkl
25.44, 3.501, 8.9, 3 1 -1
31.07, 2.878, 42.1, 6 0 -1
31.59, 2.832, 18.6, 5 1 -1
33.07, 2.709, 55.5, 0 2 0
33.23, 2.696, 91.6, 1 1 -2
33.33, 2.688, 100.0, 5 1 1
39.34, 2.290, 11.4, 7 1 -1
46.01, 1.973, 28.5, 6 2 -1
49.50, 1.841, 15.9, 4 0 3
59.21, 1.561, 35.9, 5 3 1
60.83, 1.523, 17.0, 4 2 3
70.00, 1.344, 8.7, 10 2 2

Structure:
```
data_Er8Sc2Cd
_space_group_name_H-M_alt 'C 1 2/m 1'
_space_group_IT_number 12
_cell_length_a 18.7467
_cell_length_b 5.4174
_cell_length_c 6.2390
_cell_angle_alpha 90.00
_cell_angle_beta 94.57
_cell_angle_gamma 90.00
loop_
_space_group_symop_operation_xyz
'x,y,z'
'-x,-y,-z'
'-x,y,-z'
'x,-y,z'
'x+1/2,y+1/2,z'
'-x+1/2,-y+1/2,-z'
'-x+1/2,y+1/2,-z'
'x+1/2,-y+1/2,z'
loop_
_atom_site_label
_atom_site_fract_x
_atom_site_fract_y
_atom_site_fract_z
_atom_site_occupancy
Er1 0.0456 0.0000 0.2635 1
Er2 0.0810 0.5000 0.5951 1
Er3 0.1563 0.0000 0.7980 1
Er4 0.1636 0.5000 0.1232 1
Sc1 0.2422 0.0000 0.3397 1
Cd1 0.0000 0.5000 0.0000 1
```



(5)
Structure and simulated XRD peak list of Er3ScCd12 (a DFT-relaxed cell (PBE, Alexandria); CuKα).

Principal peaks in the range 2θ = 10–90°, sorted by position:
2theta, d_spacing, Rel. int., hkl
20.49, 4.334, 1.3, 1 0 1
31.79, 2.815, 1.3, 1 1 3
34.26, 2.617, 100.0, 1 1 4
38.25, 2.353, 18.1, 0 0 8
40.51, 2.227, 31.5, 2 0 0
56.93, 1.617, 22.2, 2 0 8
58.63, 1.575, 10.2, 2 2 0
66.60, 1.404, 13.2, 1 1 12
69.69, 1.349, 23.9, 3 1 4
72.19, 1.309, 10.6, 2 2 8
81.88, 1.177, 1.8, 0 0 16
87.63, 1.113, 3.4, 4 0 0

Structure:
```
data_Er3ScCd12
_space_group_name_H-M_alt 'P 4/m m m'
_space_group_IT_number 123
_space_group_name_Hall '-P 4 2'
_cell_length_a 4.4538
_cell_length_b 4.4538
_cell_length_c 18.8241
_cell_angle_alpha 90.00
_cell_angle_beta 90.00
_cell_angle_gamma 90.00
loop_
_atom_site_label
_atom_site_fract_x
_atom_site_fract_y
_atom_site_fract_z
_atom_site_occupancy
Er1 0.0000 0.0000 0.0000 1
Er2 0.0000 0.0000 0.2533 1
Sc1 0.0000 0.0000 0.5000 1
Cd1 0.0000 0.5000 0.1267 1
Cd2 0.0000 0.5000 0.3796 1
Cd3 0.5000 0.5000 0.0000 1
Cd4 0.5000 0.5000 0.2537 1
Cd5 0.5000 0.5000 0.5000 1
```



(6)
Structure and simulated XRD peak list of Er3Sc2Cd (a DFT-relaxed cell (PBE, Alexandria); CuKα).

Principal peaks in the range 2θ = 10–90°, sorted by position:
2theta, d_spacing, Rel. int., hkl
19.90, 4.463, 14.0, 0 0 3
25.64, 3.475, 15.8, 1 0 0
32.66, 2.742, 100.0, 1 0 3
36.57, 2.457, 37.2, 1 1 0
40.42, 2.231, 13.4, 0 0 6
41.98, 2.152, 8.8, 1 1 3
52.69, 1.737, 12.9, 2 0 0
55.64, 1.652, 20.7, 1 1 6
63.38, 1.467, 28.9, 2 1 3
68.44, 1.371, 11.0, 2 0 6
68.63, 1.367, 10.3, 1 0 9
86.89, 1.121, 6.1, 3 0 3

Structure:
```
data_Er3Sc2Cd
_space_group_name_H-M_alt 'P 4/m m m'
_space_group_IT_number 123
_space_group_name_Hall '-P 4 2'
_cell_length_a 3.4746
_cell_length_b 3.4746
_cell_length_c 13.3878
_cell_angle_alpha 90.00
_cell_angle_beta 90.00
_cell_angle_gamma 90.00
loop_
_atom_site_label
_atom_site_fract_x
_atom_site_fract_y
_atom_site_fract_z
_atom_site_occupancy
Er1 0.0000 0.0000 0.0000 1
Er2 0.0000 0.0000 0.3417 1
Sc1 0.5000 0.5000 0.1701 1
Cd1 0.5000 0.5000 0.5000 1
```



(7)
Structure and simulated XRD peak list of Er3Sc4Cd (a DFT-relaxed cell (PBE, Alexandria); CuKα).

Principal peaks in the range 2θ = 10–90°, sorted by position:
2theta, d_spacing, Rel. int., hkl
17.96, 4.939, 22.8, 0 0 2
28.40, 3.143, 100.0, 1 2 1
29.24, 3.054, 15.4, 0 1 3
31.40, 2.849, 60.5, 2 0 0
34.21, 2.621, 10.3, 0 3 1
34.60, 2.592, 11.6, 2 1 1
36.43, 2.466, 19.4, 2 0 2
38.54, 2.336, 11.4, 1 2 3
41.09, 2.197, 21.1, 1 3 2
42.84, 2.111, 23.8, 0 2 4
54.06, 1.696, 11.3, 2 2 4
54.13, 1.694, 13.7, 3 2 1

Structure:
```
data_Er3Sc4Cd
_space_group_name_H-M_alt 'I m m 2'
_space_group_IT_number 44
_cell_length_a 5.6901
_cell_length_b 8.1543
_cell_length_c 9.8826
_cell_angle_alpha 90.00
_cell_angle_beta 90.00
_cell_angle_gamma 90.00
loop_
_space_group_symop_operation_xyz
'x,y,z'
'-x,-y,z'
'-x,y,z'
'x,-y,z'
'x+1/2,y+1/2,z+1/2'
'-x+1/2,-y+1/2,z+1/2'
'-x+1/2,y+1/2,z+1/2'
'x+1/2,-y+1/2,z+1/2'
loop_
_atom_site_label
_atom_site_fract_x
_atom_site_fract_y
_atom_site_fract_z
_atom_site_occupancy
Er1 0.0000 0.0000 0.0000 1
Er2 0.0000 0.2043 0.3590 1
Sc1 0.0000 0.3271 0.6715 1
Sc2 0.2420 0.0000 0.6728 1
Cd1 0.0000 0.5000 0.9226 1
```



(8)
Structure and simulated XRD peak list of Er3Sc3Cd (a DFT-relaxed cell (PBE, Alexandria); CuKα).

Principal peaks in the range 2θ = 10–90°, sorted by position:
2theta, d_spacing, Rel. int., hkl
11.34, 7.801, 26.4, 1 0 0
20.38, 4.357, 5.8, 1 0 1
26.06, 3.419, 17.5, 1 1 1
30.31, 2.949, 30.5, 1 2 0
34.14, 2.626, 23.7, 0 0 2
34.90, 2.571, 100.0, 1 2 1
46.30, 1.961, 18.9, 1 2 2
53.85, 1.702, 17.8, 4 1 0
61.61, 1.505, 18.7, 1 2 3
65.32, 1.428, 19.7, 4 1 2
65.79, 1.419, 13.8, 2 4 1
86.25, 1.128, 6.7, 2 4 3

Structure:
```
data_Er3Sc3Cd
_space_group_name_H-M_alt 'P 63/m'
_space_group_IT_number 176
_space_group_name_Hall '-P 6c'
_cell_length_a 9.0082
_cell_length_b 9.0082
_cell_length_c 5.2520
_cell_angle_alpha 90.00
_cell_angle_beta 90.00
_cell_angle_gamma 120.00
loop_
_atom_site_label
_atom_site_fract_x
_atom_site_fract_y
_atom_site_fract_z
_atom_site_occupancy
Er1 0.1029 0.6336 0.2500 1
Sc1 0.0571 0.8265 0.7500 1
Cd1 0.3333 0.6667 0.7500 1
```



(9)
Structure and simulated XRD peak list of Er4ScCd (a DFT-relaxed cell (PBE, Alexandria); CuKα).

Principal peaks in the range 2θ = 10–90°, sorted by position:
2theta, d_spacing, Rel. int., hkl
26.39, 3.377, 9.3, 1 0 1
32.22, 2.778, 100.0, 1 0 3
36.49, 2.462, 36.7, 1 1 0
39.10, 2.304, 13.7, 0 0 6
52.56, 1.741, 12.8, 2 0 0
54.55, 1.682, 20.7, 1 1 6
63.00, 1.475, 28.9, 2 1 3
66.54, 1.405, 9.9, 1 0 9
67.42, 1.389, 10.9, 2 0 6
86.45, 1.126, 6.2, 3 0 3
88.87, 1.101, 6.2, 3 1 0
89.65, 1.094, 9.7, 2 1 9

Structure:
```
data_Er4ScCd
_space_group_name_H-M_alt 'P 4/m m m'
_space_group_IT_number 123
_space_group_name_Hall '-P 4 2'
_cell_length_a 3.4824
_cell_length_b 3.4824
_cell_length_c 13.8228
_cell_angle_alpha 90.00
_cell_angle_beta 90.00
_cell_angle_gamma 90.00
loop_
_atom_site_label
_atom_site_fract_x
_atom_site_fract_y
_atom_site_fract_z
_atom_site_occupancy
Er1 0.0000 0.0000 0.1534 1
Er2 0.5000 0.5000 0.3333 1
Sc1 0.0000 0.0000 0.5000 1
Cd1 0.5000 0.5000 0.0000 1
```



(10)
Structure and simulated XRD peak list of SmEr3Cd (a DFT-relaxed cell (PBE, Alexandria); CuKα).

Principal peaks in the range 2θ = 10–90°, sorted by position:
2theta, d_spacing, Rel. int., hkl
28.96, 3.083, 14.4, 1 1 -2
30.98, 2.887, 36.9, 2 0 -4
32.01, 2.796, 58.9, 4 0 2
32.71, 2.738, 100.0, 3 1 -1
33.65, 2.663, 91.2, 1 1 3
34.07, 2.632, 14.5, 4 0 -3
43.67, 2.073, 14.2, 6 0 -2
50.03, 1.823, 17.5, 0 2 0
56.89, 1.619, 19.5, 7 1 1
58.72, 1.572, 16.8, 5 1 5
60.00, 1.542, 13.9, 2 2 -4
60.64, 1.527, 18.9, 4 2 2

Structure:
```
data_SmEr3Cd
_space_group_name_H-M_alt 'C 1 2/m 1'
_space_group_IT_number 12
_cell_length_a 12.9195
_cell_length_b 3.6464
_cell_length_c 12.5411
_cell_angle_alpha 90.00
_cell_angle_beta 93.58
_cell_angle_gamma 90.00
loop_
_space_group_symop_operation_xyz
'x,y,z'
'-x,-y,-z'
'-x,y,-z'
'x,-y,z'
'x+1/2,y+1/2,z'
'-x+1/2,-y+1/2,-z'
'-x+1/2,y+1/2,-z'
'x+1/2,-y+1/2,z'
loop_
_atom_site_label
_atom_site_fract_x
_atom_site_fract_y
_atom_site_fract_z
_atom_site_occupancy
Sm1 0.2342 0.0000 0.2540 1
Er1 0.0351 0.0000 0.6885 1
Er2 0.1339 0.5000 0.4784 1
Er3 0.1463 0.0000 0.9475 1
Cd1 0.0546 0.5000 0.1261 1
```



(11)
Structure and simulated XRD peak list of SmErCd5 (a DFT-relaxed cell (PBE, Alexandria); CuKα).

Principal peaks in the range 2θ = 10–90°, sorted by position:
2theta, d_spacing, Rel. int., hkl
17.16, 5.166, 6.9, 1 0 0
21.50, 4.134, 19.0, 1 0 1
34.73, 2.583, 56.5, 2 0 0
35.82, 2.507, 100.0, 1 1 2
41.21, 2.191, 7.2, 2 1 1
49.93, 1.826, 19.8, 2 2 0
53.16, 1.723, 7.4, 0 0 4
62.97, 1.476, 37.2, 3 1 2
65.07, 1.433, 15.4, 2 0 4
75.92, 1.253, 9.8, 2 2 4
83.73, 1.155, 8.7, 4 2 0
84.36, 1.148, 8.3, 3 3 2

Structure:
```
data_SmErCd5
_space_group_name_H-M_alt 'P 4/m m m'
_space_group_IT_number 123
_space_group_name_Hall '-P 4 2'
_cell_length_a 5.1660
_cell_length_b 5.1660
_cell_length_c 6.8922
_cell_angle_alpha 90.00
_cell_angle_beta 90.00
_cell_angle_gamma 90.00
loop_
_atom_site_label
_atom_site_fract_x
_atom_site_fract_y
_atom_site_fract_z
_atom_site_occupancy
Sm1 0.0000 0.0000 0.0000 1
Er1 0.5000 0.5000 0.5000 1
Cd1 0.0000 0.5000 0.2715 1
Cd2 0.5000 0.5000 0.0000 1
```



(12)
Structure and simulated XRD peak list of SmErCd17 (a DFT-relaxed cell (PBE, Alexandria); CuKα).

Principal peaks in the range 2θ = 10–90°, sorted by position:
2theta, d_spacing, Rel. int., hkl
30.82, 2.901, 26.5, 3 0 0
31.47, 2.842, 13.9, 0 2 4
35.76, 2.511, 100.0, 0 3 3
35.87, 2.503, 19.4, 0 0 6
36.33, 2.473, 23.9, 2 0 5
40.18, 2.245, 27.9, 2 2 3
51.49, 1.775, 8.1, 2 2 6
54.80, 1.675, 7.8, 3 3 0
64.20, 1.451, 8.0, 6 0 0
64.40, 1.447, 13.5, 0 3 9
64.59, 1.443, 7.4, 4 2 5
67.21, 1.393, 7.2, 3 3 6

Structure:
```
data_SmErCd17
_space_group_name_H-M_alt 'R 3 m'
_space_group_IT_number 160
_space_group_name_Hall 'R 3 -2"'
_cell_length_a 10.0509
_cell_length_b 10.0509
_cell_length_c 15.0197
_cell_angle_alpha 90.00
_cell_angle_beta 90.00
_cell_angle_gamma 120.00
loop_
_atom_site_label
_atom_site_fract_x
_atom_site_fract_y
_atom_site_fract_z
_atom_site_occupancy
Sm1 0.0000 0.0000 0.0000 1
Er1 0.0000 0.0000 0.6539 1
Cd1 0.0000 0.0000 0.2397 1
Cd2 0.0000 0.0000 0.4342 1
Cd3 0.0027 0.3055 0.3303 1
Cd4 0.0237 0.5118 0.1863 1
Cd5 0.0350 0.5175 0.8233 1
Cd6 0.0648 0.5324 0.4823 1
```



(13)
Structure and simulated XRD peak list of Sm3Er12Cd (a DFT-relaxed cell (PBE, Alexandria); CuKα).

Principal peaks in the range 2θ = 10–90°, sorted by position:
2theta, d_spacing, Rel. int., hkl
31.25, 2.862, 100.0, 1 1 4
36.03, 2.493, 16.7, 0 0 8
36.35, 2.472, 33.7, 2 0 0
52.11, 1.755, 23.4, 2 0 8
52.35, 1.748, 11.9, 2 2 0
61.81, 1.501, 13.4, 1 1 12
62.24, 1.492, 28.3, 3 1 4
65.19, 1.431, 11.9, 2 2 8
85.23, 1.139, 11.2, 3 1 12
85.61, 1.135, 6.0, 3 3 4
88.26, 1.107, 5.4, 4 0 8
88.45, 1.105, 5.6, 4 2 0

Structure:
```
data_Sm3Er12Cd
_space_group_name_H-M_alt 'P 4/m m m'
_space_group_IT_number 123
_space_group_name_Hall '-P 4 2'
_cell_length_a 4.9430
_cell_length_b 4.9430
_cell_length_c 19.9431
_cell_angle_alpha 90.00
_cell_angle_beta 90.00
_cell_angle_gamma 90.00
loop_
_atom_site_label
_atom_site_fract_x
_atom_site_fract_y
_atom_site_fract_z
_atom_site_occupancy
Sm1 0.0000 0.0000 0.0000 1
Sm2 0.0000 0.0000 0.2523 1
Er1 0.0000 0.5000 0.1270 1
Er2 0.0000 0.5000 0.3795 1
Er3 0.5000 0.5000 0.0000 1
Er4 0.5000 0.5000 0.2566 1
Er5 0.5000 0.5000 0.5000 1
Cd1 0.0000 0.0000 0.5000 1
```